(1)
Starting from a structure optimized by DFT (GGA-PBE), the powder X-ray diffraction pattern of TcSb2PdI was computed for Cu Kα (λ = 1.5418 Å).

```
data_TcSb2PdI
_chemical_formula_sum 'Tc1 Sb2 Pd1 I1'
_cell_length_a 5.021
_cell_length_b 5.021
_cell_length_c 5.805
_cell_angle_alpha 90.00
_cell_angle_beta 90.00
_cell_angle_gamma 90.00
_space_group_name_H-M_alt 'P 4/m m m'
_space_group_IT_number 123
_space_group_name_Hall '-P 4 2'
loop_
_atom_site_label
_atom_site_type_symbol
_atom_site_fract_x
_atom_site_fract_y
_atom_site_fract_z
_atom_site_occupancy
Tc1 Tc 0.000 0.000 0.000 1
Sb1 Sb 0.000 0.500 0.000 1
Pd1 Pd 0.500 0.500 0.500 1
I1 I 0.000 0.000 0.500 1
```

Peak list (8 most intense, 2θ = 10–90°, most intense first)
index, 2θ (°), Rel. int.
1 1 1, 29.49, 100
2 0 0, 35.76, 76
2 0 2, 47.91, 61
0 0 2, 30.81, 53
2 2 2, 61.20, 29
2 2 0, 51.47, 29
3 1 1, 60.44, 26
4 0 0, 75.72, 24

***

(2)
Starting from a structure optimized by DFT (GGA-PBE), the powder X-ray diffraction pattern of Ac6LaPr was computed for Cu Kα (λ = 1.5418 Å).

```
data_Ac6LaPr
_chemical_formula_sum 'Ac24 La4 Pr4'
_cell_length_a 7.907
_cell_length_b 11.050
_cell_length_c 15.761
_cell_angle_alpha 90.00
_cell_angle_beta 90.00
_cell_angle_gamma 90.00
_space_group_name_H-M_alt 'F m m m'
_space_group_IT_number 69
_space_group_name_Hall '-F 2 2'
loop_
_atom_site_label
_atom_site_type_symbol
_atom_site_fract_x
_atom_site_fract_y
_atom_site_fract_z
_atom_site_occupancy
Ac1 Ac 0.000 0.000 0.250 1
Ac2 Ac 0.250 0.250 0.122 1
La1 La 0.000 0.000 0.000 1
Pr1 Pr 0.000 0.000 0.500 1
```

Peak list (8 most intense, 2θ = 10–90°, most intense first)
index, 2θ (°), Rel. int.
2 2 0, 27.78, 100
2 0 4, 32.07, 35
2 4 4, 46.24, 26
0 4 0, 32.41, 17
4 2 4, 54.53, 16
2 2 8, 54.64, 16
2 6 0, 55.02, 15
4 6 4, 74.45, 13

***

(3)
Starting from a structure optimized by DFT (GGA-PBE), the powder X-ray diffraction pattern of Dy2Fe17CN was computed for Cu Kα (λ = 1.5418 Å).

```
data_Dy2Fe17CN
_chemical_formula_sum 'Dy2 Fe17 C1 N1'
_cell_length_a 6.433
_cell_length_b 6.462
_cell_length_c 6.506
_cell_angle_alpha 83.62
_cell_angle_beta 83.46
_cell_angle_gamma 82.96
_space_group_name_H-M_alt 'P -1'
_space_group_IT_number 2
loop_
_space_group_symop_operation_xyz
'x,y,z'
'-x,-y,-z'
loop_
_atom_site_label
_atom_site_type_symbol
_atom_site_fract_x
_atom_site_fract_y
_atom_site_fract_z
_atom_site_occupancy
Dy1 Dy 0.162 0.152 0.159 1
Fe1 Fe 0.000 0.500 0.500 1
Fe2 Fe 0.154 0.156 0.645 1
Fe3 Fe 0.155 0.646 0.160 1
Fe4 Fe 0.209 0.789 0.502 1
Fe5 Fe 0.213 0.503 0.784 1
Fe6 Fe 0.351 0.844 0.841 1
Fe7 Fe 0.403 0.404 0.405 1
Fe8 Fe 0.499 0.218 0.782 1
Fe9 Fe 0.500 0.000 0.500 1
Fe10 Fe 0.500 0.500 0.000 1
C1 C 0.000 0.500 0.000 1
N1 N 0.500 0.000 0.000 1
```

Peak list (8 most intense, 2θ = 10–90°, most intense first)
index, 2θ (°), Rel. int.
-1 2 2, 42.51, 100
2 2 2, 43.67, 80
2 -2 0, 42.32, 76
2 2 0, 37.70, 60
0 2 -2, 41.79, 49
2 0 -2, 41.97, 48
1 0 2, 29.86, 45
2 1 0, 30.03, 41

***

(4)
Starting from a structure optimized by DFT (GGA-PBE), the powder X-ray diffraction pattern of AcMg6In2 was computed for Cu Kα (λ = 1.5418 Å).

```
data_AcMg6In2
_chemical_formula_sum 'Ac1 Mg6 In2'
_cell_length_a 4.718
_cell_length_b 4.718
_cell_length_c 10.462
_cell_angle_alpha 90.00
_cell_angle_beta 90.00
_cell_angle_gamma 90.00
_space_group_name_H-M_alt 'P 4/m m m'
_space_group_IT_number 123
_space_group_name_Hall '-P 4 2'
loop_
_atom_site_label
_atom_site_type_symbol
_atom_site_fract_x
_atom_site_fract_y
_atom_site_fract_z
_atom_site_occupancy
Ac1 Ac 0.000 0.000 0.000 1
Mg1 Mg 0.000 0.000 0.500 1
Mg2 Mg 0.000 0.500 0.299 1
Mg3 Mg 0.500 0.500 0.500 1
In1 In 0.500 0.500 0.136 1
```

Peak list (8 most intense, 2θ = 10–90°, most intense first)
index, 2θ (°), Rel. int.
1 0 3, 31.88, 100
1 1 1, 28.08, 62
1 1 0, 26.72, 46
2 0 0, 38.15, 41
1 0 2, 25.42, 41
1 0 4, 39.39, 40
2 1 3, 50.56, 34
2 1 4, 56.00, 29

***

(5)
Starting from a structure optimized by DFT (GGA-PBE), the powder X-ray diffraction pattern of Pm5Dy7 was computed for Cu Kα (λ = 1.5418 Å).

```
data_Pm5Dy7
_chemical_formula_sum 'Pm10 Dy14'
_cell_length_a 18.687
_cell_length_b 3.604
_cell_length_c 13.187
_cell_angle_alpha 90.00
_cell_angle_beta 118.18
_cell_angle_gamma 90.00
_space_group_name_H-M_alt 'C 1 2/m 1'
_space_group_IT_number 12
loop_
_space_group_symop_operation_xyz
'x,y,z'
'-x,-y,-z'
'-x,y,-z'
'x,-y,z'
'x+1/2,y+1/2,z'
'-x+1/2,-y+1/2,-z'
'-x+1/2,y+1/2,-z'
'x+1/2,-y+1/2,z'
loop_
_atom_site_label
_atom_site_type_symbol
_atom_site_fract_x
_atom_site_fract_y
_atom_site_fract_z
_atom_site_occupancy
Pm1 Pm 0.000 0.000 0.000 1
Pm2 Pm 0.166 0.000 0.498 1
Pm3 Pm 0.195 0.500 0.751 1
Dy1 Dy 0.000 0.500 0.500 1
Dy2 Dy 0.028 0.000 0.750 1
Dy3 Dy 0.138 0.500 0.249 1
Dy4 Dy 0.166 0.500 0.998 1
```

Peak list (8 most intense, 2θ = 10–90°, most intense first)
index, 2θ (°), Rel. int.
3 1 1, 32.59, 100
6 0 -3, 29.67, 43
0 0 4, 30.77, 35
9 1 1, 60.50, 30
6 0 1, 37.01, 24
3 1 5, 55.87, 22
9 1 -3, 50.75, 17
0 2 8, 85.98, 12

***

(6)
Starting from a structure optimized by DFT (GGA-PBE), the powder X-ray diffraction pattern of Sc8AlRh2 was computed for Cu Kα (λ = 1.5418 Å).

```
data_Sc8AlRh2
_chemical_formula_sum 'Sc16 Al2 Rh4'
_cell_length_a 4.838
_cell_length_b 14.743
_cell_length_c 6.483
_cell_angle_alpha 90.00
_cell_angle_beta 90.00
_cell_angle_gamma 90.00
_space_group_name_H-M_alt 'I m m 2'
_space_group_IT_number 44
loop_
_space_group_symop_operation_xyz
'x,y,z'
'-x,-y,z'
'-x,y,z'
'x,-y,z'
'x+1/2,y+1/2,z+1/2'
'-x+1/2,-y+1/2,z+1/2'
'-x+1/2,y+1/2,z+1/2'
'x+1/2,-y+1/2,z+1/2'
loop_
_atom_site_label
_atom_site_type_symbol
_atom_site_fract_x
_atom_site_fract_y
_atom_site_fract_z
_atom_site_occupancy
Sc1 Sc 0.000 0.000 0.000 1
Sc2 Sc 0.000 0.109 0.564 1
Sc3 Sc 0.000 0.291 0.880 1
Sc4 Sc 0.000 0.333 0.415 1
Sc5 Sc 0.000 0.500 0.777 1
Al1 Al 0.000 0.500 0.204 1
Rh1 Rh 0.000 0.170 0.178 1
```

Peak list (8 most intense, 2θ = 10–90°, most intense first)
index, 2θ (°), Rel. int.
1 3 2, 38.11, 100
2 0 0, 37.17, 53
1 4 1, 33.55, 34
1 1 2, 33.84, 33
0 3 1, 22.71, 29
1 6 1, 43.61, 27
0 5 1, 33.38, 24
0 2 0, 12.01, 24

***

(7)
Starting from a structure optimized by DFT (GGA-PBE), the powder X-ray diffraction pattern of Dy3Ni6Ge2 was computed for Cu Kα (λ = 1.5418 Å).

```
data_Dy3Ni6Ge2
_chemical_formula_sum 'Dy12 Ni24 Ge8'
_cell_length_a 8.860
_cell_length_b 8.860
_cell_length_c 8.860
_cell_angle_alpha 90.00
_cell_angle_beta 90.00
_cell_angle_gamma 90.00
_space_group_name_H-M_alt 'I m -3 m'
_space_group_IT_number 229
_space_group_name_Hall '-I 4 2 3'
loop_
_atom_site_label
_atom_site_type_symbol
_atom_site_fract_x
_atom_site_fract_y
_atom_site_fract_z
_atom_site_occupancy
Dy1 Dy 0.000 0.000 0.287 1
Ni1 Ni 0.000 0.335 0.335 1
Ge1 Ge 0.250 0.250 0.250 1
```

Peak list (8 most intense, 2θ = 10–90°, most intense first)
index, 2θ (°), Rel. int.
3 3 0, 43.33, 100
2 2 2, 35.09, 48
3 1 0, 31.94, 38
4 0 0, 40.74, 31
3 2 1, 38.00, 30
6 2 2, 70.51, 24
6 3 3, 79.50, 24
2 1 1, 24.61, 20

***

(8)
Starting from a structure optimized by DFT (GGA-PBE), the powder X-ray diffraction pattern of Sr3Ga3Au8 was computed for Cu Kα (λ = 1.5418 Å).

```
data_Sr3Ga3Au8
_chemical_formula_sum 'Sr6 Ga6 Au16'
_cell_length_a 16.955
_cell_length_b 4.698
_cell_length_c 9.265
_cell_angle_alpha 90.00
_cell_angle_beta 122.35
_cell_angle_gamma 90.00
_space_group_name_H-M_alt 'C 1 2/m 1'
_space_group_IT_number 12
loop_
_space_group_symop_operation_xyz
'x,y,z'
'-x,-y,-z'
'-x,y,-z'
'x,-y,z'
'x+1/2,y+1/2,z'
'-x+1/2,-y+1/2,-z'
'-x+1/2,y+1/2,-z'
'x+1/2,-y+1/2,z'
loop_
_atom_site_label
_atom_site_type_symbol
_atom_site_fract_x
_atom_site_fract_y
_atom_site_fract_z
_atom_site_occupancy
Sr1 Sr 0.000 0.000 0.000 1
Sr2 Sr 0.206 0.500 0.677 1
Ga1 Ga 0.000 0.000 0.500 1
Ga2 Ga 0.172 0.500 0.008 1
Au1 Au 0.012 0.500 0.692 1
Au2 Au 0.119 0.000 0.403 1
Au3 Au 0.140 0.000 0.848 1
Au4 Au 0.147 0.500 0.259 1
```

Peak list (8 most intense, 2θ = 10–90°, most intense first)
index, 2θ (°), Rel. int.
1 1 2, 32.85, 100
0 2 0, 38.31, 72
5 1 -1, 33.00, 57
5 1 -3, 37.17, 43
2 0 -2, 19.16, 36
5 1 0, 36.74, 30
1 1 3, 42.97, 29
5 1 -2, 33.16, 28

***

(9)
Starting from a structure optimized by DFT (GGA-PBE), the powder X-ray diffraction pattern of Nd3SmAl8 was computed for Cu Kα (λ = 1.5418 Å).

```
data_Nd3SmAl8
_chemical_formula_sum 'Nd3 Sm1 Al8'
_cell_length_a 5.6637
_cell_length_b 5.6637
_cell_length_c 9.3350
_cell_angle_alpha 90.00
_cell_angle_beta 90.00
_cell_angle_gamma 120.00
_space_group_name_H-M_alt 'P 3 m 1'
_space_group_IT_number 156
loop_
_space_group_symop_operation_xyz
'x,y,z'
'-y,x-y,z'
'-x+y,-x,z'
'-y,-x,z'
'-x+y,y,z'
'x,x-y,z'
loop_
_atom_site_label
_atom_site_type_symbol
_atom_site_fract_x
_atom_site_fract_y
_atom_site_fract_z
_atom_site_occupancy
Nd1 Nd 0.0000 0.0000 0.0000 1
Nd2 Nd 0.0000 0.0000 0.3638 1
Nd3 Nd 0.3333 0.6667 0.8635 1
Sm1 Sm 0.3333 0.6667 0.4998 1
Al1 Al 0.0091 0.5045 0.1825 1
Al2 Al 0.3245 0.1623 0.6804 1
Al3 Al 0.6667 0.3333 0.4321 1
Al4 Al 0.6667 0.3333 0.9311 1
```

Peak list (8 most intense, 2θ = 10–90°, most intense first)
index, 2θ (°), Rel. int.
0 1 3, 34.12, 100
1 1 0, 31.59, 73
1 1 2, 37.13, 67
1 2 3, 57.90, 42
1 0 0, 18.09, 38
2 0 1, 37.93, 32
0 1 1, 20.45, 31
2 0 5, 62.52, 19

***

(10)
Starting from a structure optimized by DFT (GGA-PBE), the powder X-ray diffraction pattern of Tc was computed for Cu Kα (λ = 1.5418 Å).

```
data_Tc
_chemical_formula_sum 'Tc2'
_cell_length_a 3.090
_cell_length_b 3.090
_cell_length_c 3.090
_cell_angle_alpha 90.00
_cell_angle_beta 90.00
_cell_angle_gamma 90.00
_space_group_name_H-M_alt 'I m -3 m'
_space_group_IT_number 229
_space_group_name_Hall '-I 4 2 3'
loop_
_atom_site_label
_atom_site_type_symbol
_atom_site_fract_x
_atom_site_fract_y
_atom_site_fract_z
_atom_site_occupancy
Tc1 Tc 0.000 0.000 0.000 1
```

Peak list (4 most intense, 2θ = 10–90°, most intense first)
index, 2θ (°), Rel. int.
1 1 0, 41.32, 100
2 1 1, 75.35, 32
2 0 0, 59.87, 16
2 2 0, 89.77, 11

***

(11)
Starting from a structure optimized by DFT (GGA-PBE), the powder X-ray diffraction pattern of Tb4Pr2Th5 was computed for Cu Kα (λ = 1.5418 Å).

```
data_Tb4Pr2Th5
_chemical_formula_sum 'Tb4 Pr2 Th5'
_cell_length_a 8.866
_cell_length_b 3.480
_cell_length_c 11.795
_cell_angle_alpha 90.00
_cell_angle_beta 94.17
_cell_angle_gamma 90.00
_space_group_name_H-M_alt 'P 1 2/m 1'
_space_group_IT_number 10
loop_
_space_group_symop_operation_xyz
'x,y,z'
'-x,-y,-z'
'-x,y,-z'
'x,-y,z'
loop_
_atom_site_label
_atom_site_type_symbol
_atom_site_fract_x
_atom_site_fract_y
_atom_site_fract_z
_atom_site_occupancy
Tb1 Tb 0.160 0.000 0.407 1
Tb2 Tb 0.308 0.000 0.944 1
Pr1 Pr 0.054 0.500 0.136 1
Th1 Th 0.207 0.500 0.676 1
Th2 Th 0.421 0.500 0.215 1
Th3 Th 0.500 0.500 0.500 1
```

Peak list (8 most intense, 2θ = 10–90°, most intense first)
index, 2θ (°), Rel. int.
3 0 -1, 30.73, 100
1 0 -4, 31.35, 99
2 0 3, 31.58, 96
1 1 -2, 31.17, 52
0 1 2, 29.83, 41
1 1 2, 31.90, 41
2 1 1, 33.99, 34
0 1 0, 25.58, 30

***

(12)
Starting from a structure optimized by DFT (GGA-PBE), the powder X-ray diffraction pattern of Sm5Ga3 was computed for Cu Kα (λ = 1.5418 Å).

```
data_Sm5Ga3
_chemical_formula_sum 'Sm20 Ga12'
_cell_length_a 7.744
_cell_length_b 7.744
_cell_length_c 14.611
_cell_angle_alpha 90.00
_cell_angle_beta 90.00
_cell_angle_gamma 90.00
_space_group_name_H-M_alt 'I 4/m c m'
_space_group_IT_number 140
_space_group_name_Hall '-I 4 2c'
loop_
_atom_site_label
_atom_site_type_symbol
_atom_site_fract_x
_atom_site_fract_y
_atom_site_fract_z
_atom_site_occupancy
Sm1 Sm 0.000 0.000 0.000 1
Sm2 Sm 0.173 0.327 0.148 1
Ga1 Ga 0.000 0.000 0.250 1
Ga2 Ga 0.119 0.381 0.500 1
```

Peak list (8 most intense, 2θ = 10–90°, most intense first)
index, 2θ (°), Rel. int.
2 1 3, 31.70, 100
2 0 4, 33.73, 43
3 1 0, 36.70, 42
4 1 3, 52.20, 19
3 3 4, 56.35, 16
2 1 1, 26.45, 16
2 2 0, 32.71, 15
0 0 6, 36.91, 15

***

(13)
Starting from a structure optimized by DFT (GGA-PBE), the powder X-ray diffraction pattern of Sm5PuTl3 was computed for Cu Kα (λ = 1.5418 Å).

```
data_Sm5PuTl3
_chemical_formula_sum 'Sm10 Pu2 Tl6'
_cell_length_a 9.5369
_cell_length_b 9.5369
_cell_length_c 6.7494
_cell_angle_alpha 90.00
_cell_angle_beta 90.00
_cell_angle_gamma 120.00
_space_group_name_H-M_alt 'P 63/m c m'
_space_group_IT_number 193
_space_group_name_Hall '-P 6c 2'
loop_
_atom_site_label
_atom_site_type_symbol
_atom_site_fract_x
_atom_site_fract_y
_atom_site_fract_z
_atom_site_occupancy
Sm1 Sm 0.0000 0.3154 0.2500 1
Sm2 Sm 0.3333 0.6667 0.0000 1
Pu1 Pu 0.0000 0.0000 0.0000 1
Tl1 Tl 0.0000 0.3477 0.7500 1
```

Peak list (8 most intense, 2θ = 10–90°, most intense first)
index, 2θ (°), Rel. int.
3 0 0, 32.51, 100
3 3 0, 58.02, 27
2 2 2, 46.64, 17
3 0 4, 64.81, 16
5 2 2, 77.52, 7
3 3 4, 83.57, 7
6 0 0, 68.12, 6
3 0 2, 42.37, 5